Structure and calculated PXRD pattern of Cd3Sn2Pd4 (the PBE geometry in Alexandria; λ = 1.5418 Å (Cu Kα)).

Atomic structure:
abc: 8.0214 4.6091 8.9768
angles: 90.00 90.27 90.00
Space group C2/m (No. 12)
Asymmetric unit:
1 Cd 0.0000 0.0000 0.0000 x2
2 Cd 0.1659 0.5000 0.5610 x4
3 Sn 0.1673 0.5000 0.2027 x4
4 Pd 0.0016 0.0000 0.3286 x4
5 Pd 0.1661 0.5000 0.8775 x4

Principal peaks in the range 2θ from 15° to 90°, low angle first:
2θ (°)	I/Imax	hkl
37.51	100.0	1 1 -3
37.59	50.5	2 0 3
38.94	94.0	3 1 0
39.09	46.5	0 2 0
55.01	16.1	4 0 -3
55.35	31.8	2 2 3
66.82	15.7	1 1 6
69.53	15.8	4 2 -3
69.73	31.6	5 1 3
70.72	15.8	3 3 0

***

Structure and calculated PXRD pattern of LiBi2Au2 (the PBE geometry in Alexandria; λ = 1.5418 Å (Cu Kα)).

Atomic structure:
abc: 7.9949 7.9949 3.8650
angles: 90.00 90.00 90.00
Space group P4/mbm (No. 127)
Asymmetric unit:
1 Li 0.0000 0.0000 0.0000 x2
2 Bi 0.1682 0.3318 0.0000 x4
3 Au 0.1341 0.6341 0.5000 x4

Principal peaks in the range 2θ from 15° to 90°, low angle first:
2θ (°)	I/Imax	hkl
15.68	31.9	1 1 0
22.24	12.8	2 0 0
34.16	100.0	2 1 1
35.51	22.4	3 1 0
45.38	10.5	4 0 0
48.30	12.1	3 3 0
52.82	12.2	4 1 1
60.28	10.0	3 1 2
67.60	16.5	5 2 1
79.00	9.5	2 1 3